# 1
Structure and computed powder X-ray diffraction pattern of KAuF4 (the GGA-PBE geometry in Alexandria; CuKα).
Neutral-atom scattering factors, no anomalous dispersion.

```
data_KAuF4
_space_group_name_H-M_alt 'I 4/m c m'
_space_group_IT_number 140
_space_group_name_Hall '-I 4 2c'
_cell_length_a 6.1777
_cell_length_b 6.1777
_cell_length_c 11.5433
_cell_angle_alpha 90.00
_cell_angle_beta 90.00
_cell_angle_gamma 90.00
loop_
_atom_site_label
_atom_site_fract_x
_atom_site_fract_y
_atom_site_fract_z
K1 0.0000 0.0000 0.2500
Au1 0.0000 0.5000 0.0000
F1 0.1605 0.3395 0.1196
```

Most intense lines, 10 to 90 degrees two-theta, by intensity:
d [Å], two_theta, intensity, hkl
3.483, 25.6, 100, 1 1 2
4.368, 20.3, 47, 1 1 0
5.772, 15.4, 35, 0 0 2
1.850, 49.2, 32, 3 1 2
2.109, 42.9, 32, 2 0 4
3.089, 28.9, 26, 2 0 0
2.723, 32.9, 22, 2 0 2
1.371, 68.5, 17, 3 1 6
2.184, 41.3, 16, 2 2 0
1.618, 56.9, 15, 3 1 4

# 2
Structure and computed powder X-ray diffraction pattern of K2Ge2O5 (the GGA-PBE geometry in Alexandria; CuKα).
Neutral-atom scattering factors, no anomalous dispersion.

```
data_K2Ge2O5
_space_group_name_H-M_alt 'C 1 c 1'
_space_group_IT_number 9
_cell_length_a 17.3010
_cell_length_b 11.7614
_cell_length_c 10.4746
_cell_angle_alpha 90.00
_cell_angle_beta 116.68
_cell_angle_gamma 90.00
loop_
_space_group_symop_operation_xyz
'x,y,z'
'x,-y,z+1/2'
'x+1/2,y+1/2,z'
'x+1/2,-y+1/2,z+1/2'
loop_
_atom_site_label
_atom_site_fract_x
_atom_site_fract_y
_atom_site_fract_z
K1 0.0000 0.0136 0.0000
K2 0.1311 0.2587 0.0910
K3 0.1808 0.2703 0.4971
K4 0.3307 0.2781 0.9008
K5 0.4313 0.0281 0.5645
K6 0.4690 0.2702 0.7343
Ge1 0.0456 0.2486 0.6929
Ge2 0.1506 0.0175 0.8547
Ge3 0.1642 0.4830 0.8014
Ge4 0.2731 0.0201 0.6966
Ge5 0.2938 0.4758 0.1505
Ge6 0.3905 0.2288 0.2887
O1 0.0324 0.2297 0.5230
O2 0.0622 0.1190 0.7927
O3 0.0895 0.4119 0.2690
O4 0.1153 0.1137 0.2838
O5 0.1337 0.3376 0.8132
O6 0.1803 0.0340 0.0433
O7 0.1944 0.4843 0.6564
O8 0.2366 0.0763 0.8228
O9 0.2653 0.4950 0.9622
O10 0.3041 0.3227 0.1723
O11 0.3284 0.1284 0.6661
O12 0.3347 0.1008 0.2914
O13 0.3777 0.4402 0.7570
O14 0.4448 0.1931 0.1802
O15 0.4553 0.2652 0.4615
```

Most intense lines, 10 to 90 degrees two-theta, by intensity:
d [Å], two_theta, intensity, hkl
2.936, 30.4, 100, 0 4 0
4.680, 19.0, 72, 2 2 0
3.297, 27.0, 38, 5 1 -1
2.583, 34.7, 32, 2 0 -4
3.985, 22.3, 30, 4 0 -2
7.746, 11.4, 27, 2 0 0
3.236, 27.6, 20, 5 1 -2
2.555, 35.1, 20, 5 3 -2
2.364, 38.1, 16, 2 2 -4
1.940, 46.8, 12, 5 5 -1

# 3
Structure and computed powder X-ray diffraction pattern of CeSm3Hg2C (the GGA-PBE geometry in Alexandria; CuKα).
Neutral-atom scattering factors, no anomalous dispersion.

```
data_CeSm3Hg2C
_space_group_name_H-M_alt 'I m m m'
_space_group_IT_number 71
_space_group_name_Hall '-I 2 2'
_cell_length_a 4.9172
_cell_length_b 5.0676
_cell_length_c 15.2396
_cell_angle_alpha 90.00
_cell_angle_beta 90.00
_cell_angle_gamma 90.00
loop_
_atom_site_label
_atom_site_fract_x
_atom_site_fract_y
_atom_site_fract_z
Ce1 0.0000 0.0000 0.0000
Sm1 0.0000 0.0000 0.5000
Sm2 0.0000 0.5000 0.3306
Hg1 0.0000 0.5000 0.1315
C1 0.0000 0.5000 0.5000
```

Most intense lines, 10 to 90 degrees two-theta, by intensity:
d [Å], two_theta, intensity, hkl
2.589, 34.6, 100, 1 1 4
3.202, 27.9, 53, 1 1 2
2.536, 35.4, 48, 0 2 0
1.765, 51.8, 32, 2 2 0
2.459, 36.5, 29, 2 0 0
3.529, 25.2, 27, 1 1 0
1.443, 64.6, 17, 3 1 4
1.473, 63.1, 16, 1 3 4
1.794, 50.9, 11, 0 2 6
1.449, 64.3, 11, 2 2 6

# 4
Structure and computed powder X-ray diffraction pattern of U4Si3Mo (the GGA-PBE geometry in Alexandria; CuKα).
Neutral-atom scattering factors, no anomalous dispersion.

```
data_U4Si3Mo
_space_group_name_H-M_alt 'I 4/m c m'
_space_group_IT_number 140
_space_group_name_Hall '-I 4 2c'
_cell_length_a 10.6563
_cell_length_b 10.6563
_cell_length_c 5.2910
_cell_angle_alpha 90.00
_cell_angle_beta 90.00
_cell_angle_gamma 90.00
loop_
_atom_site_label
_atom_site_fract_x
_atom_site_fract_y
_atom_site_fract_z
U1 0.0972 0.2318 0.0000
Si1 0.0000 0.0000 0.2500
Si2 0.1470 0.3530 0.5000
Mo1 0.0000 0.5000 0.2500
```

Most intense lines, 10 to 90 degrees two-theta, by intensity:
d [Å], two_theta, intensity, hkl
2.580, 34.8, 100, 3 2 1
3.541, 25.1, 84, 2 1 1
2.383, 37.8, 56, 4 2 0
2.322, 38.8, 51, 4 1 1
2.646, 33.9, 35, 0 0 2
2.370, 38.0, 27, 2 0 2
1.475, 63.0, 24, 6 0 2
1.853, 49.2, 23, 5 2 1
1.214, 78.8, 22, 8 3 1
1.515, 61.2, 20, 3 2 3

# 5
Structure and computed powder X-ray diffraction pattern of KTe2Cl4 (the GGA-PBE geometry in Alexandria; CuKα).
Neutral-atom scattering factors, no anomalous dispersion.

```
data_KTe2Cl4
_space_group_name_H-M_alt 'I 41 2 2'
_space_group_IT_number 98
_space_group_name_Hall 'I 4bw 2bw'
_cell_length_a 10.1863
_cell_length_b 10.1863
_cell_length_c 10.2387
_cell_angle_alpha 90.00
_cell_angle_beta 90.00
_cell_angle_gamma 90.00
loop_
_atom_site_label
_atom_site_fract_x
_atom_site_fract_y
_atom_site_fract_z
K1 0.0000 0.0000 0.0000
Te1 0.1468 0.7500 0.6250
Cl1 0.0136 0.6798 0.9533
```

Most intense lines, 10 to 90 degrees two-theta, by intensity:
d [Å], two_theta, intensity, hkl
7.204, 12.3, 100, 1 1 0
2.728, 32.8, 50, 2 1 3
4.162, 21.3, 41, 2 1 1
3.223, 27.7, 38, 3 0 1
3.236, 27.6, 21, 1 0 3
1.861, 49.0, 21, 5 1 2
2.280, 39.5, 19, 4 0 2
1.999, 45.4, 16, 4 3 1
2.175, 41.5, 15, 3 2 3
1.658, 55.4, 12, 3 2 5

# 6
Structure and computed powder X-ray diffraction pattern of Pm2FeCu3Ge4 (the GGA-PBE geometry in Alexandria; CuKα).
Neutral-atom scattering factors, no anomalous dispersion.

```
data_Pm2FeCu3Ge4
_space_group_name_H-M_alt 'P -4 m 2'
_space_group_IT_number 115
_cell_length_a 4.1561
_cell_length_b 4.1561
_cell_length_c 10.1977
_cell_angle_alpha 90.00
_cell_angle_beta 90.00
_cell_angle_gamma 90.00
loop_
_space_group_symop_operation_xyz
'x,y,z'
'y,-x,-z'
'-x,-y,z'
'-y,x,-z'
'-x,y,z'
'-y,-x,-z'
'x,-y,z'
'y,x,-z'
loop_
_atom_site_label
_atom_site_fract_x
_atom_site_fract_y
_atom_site_fract_z
Pm1 0.0000 0.5000 0.2480
Fe1 0.5000 0.5000 0.0000
Cu1 0.0000 0.0000 0.0000
Cu2 0.0000 0.5000 0.6338
Ge1 0.0000 0.0000 0.5000
Ge2 0.0000 0.5000 0.8711
Ge3 0.5000 0.5000 0.5000
```

Most intense lines, 10 to 90 degrees two-theta, by intensity:
d [Å], two_theta, intensity, hkl
2.546, 35.2, 100, 1 1 2
2.631, 34.1, 65, 1 0 3
2.078, 43.6, 54, 2 0 0
1.631, 56.4, 30, 2 1 3
1.831, 49.8, 29, 1 0 5
1.470, 63.3, 29, 2 2 0
1.273, 74.6, 23, 3 1 2
1.374, 68.3, 22, 2 1 5
2.939, 30.4, 18, 1 1 0
1.926, 47.2, 8, 1 1 4